[1]
For Tb2Mg3Ag2, a crystal structure in Alexandria, relaxed with PBE gives the simulated powder XRD pattern in this record (Cu Ka).

Cell and atoms:
Cell lengths 5.7199, 5.7199, 7.4549 Å; angles 95.77, 95.77, 44.39 degrees
Atoms (fractional coordinates):
Tb  0.1252  0.1252  0.3504
Tb  0.8748  0.8748  0.6496
Mg  0.1881  0.1881  0.8678
Mg  0.5000  0.5000  0.0000
Mg  0.8119  0.8119  0.1322
Ag  0.4100  0.4100  0.3460
Ag  0.5900  0.5900  0.6540

The 10 most intense peaks (15 to 90 degrees two-theta), low angle first:
2theta	I_rel
24.9	35
25.8	57
32.3	65
33.6	44
34.1	100
36.1	31
36.4	37
39.4	31
41.8	38
42.8	35

***

[2]
For TbMg9Ag2, a crystal structure in Alexandria, relaxed with PBE gives the simulated powder XRD pattern in this record (Cu Ka).

Cell and atoms:
Cell lengths 9.2392, 9.2392, 9.2392 Å; angles 99.65, 99.65, 131.66 degrees
Atoms (fractional coordinates):
Tb  0.3750  0.6250  0.7500
Tb  0.6250  0.3750  0.2500
Mg  0.1250  0.8750  0.2500
Mg  0.1288  0.5585  0.3272
Mg  0.1288  0.8016  0.5702
Mg  0.1984  0.2686  0.3272
Mg  0.1984  0.8712  0.9298
Mg  0.2686  0.1984  0.8272
Mg  0.2686  0.4415  0.0702
Mg  0.4415  0.2686  0.5702
Mg  0.4415  0.8712  0.1728
Mg  0.5585  0.1288  0.8272
Mg  0.5585  0.7314  0.4298
Mg  0.7314  0.5585  0.9298
Mg  0.7314  0.8016  0.1728
Mg  0.8016  0.1288  0.0702
Mg  0.8016  0.7314  0.6728
Mg  0.8712  0.1984  0.4298
Mg  0.8712  0.4415  0.6728
Mg  0.8750  0.1250  0.7500
Ag  0.0000  0.0000  0.0000
Ag  0.0000  0.0000  0.5000
Ag  0.0000  0.5000  0.0000
Ag  0.5000  0.0000  0.5000

The 10 most intense peaks (15 to 90 degrees two-theta), low angle first:
2theta	I_rel
20.4	100
27.9	21
29.5	69
30.0	34
33.6	87
36.4	30
41.4	38
42.5	28
47.9	31
52.9	22